Simulated X-ray diffraction stick pattern of Sr2Cd2Au for λ = 1.5418 Å (Cu Kα), from a cell relaxed with GGA-PBE.
Kinematic intensities with the Lorentz-polarization factor, no thermal factor.

Most intense lines, 2θ from 5° to 70°, by angle:
d_spacing  2theta  I (rel.)  hkl
7.771  11.4  34  0 0 2
4.192  21.2  27  1 0 0
3.062  29.2  100  1 1 1
2.850  31.4  42  1 0 4
2.675  33.5  46  1 1 3
2.590  34.6  85  0 1 5
2.341  38.4  35  0 2 0
2.203  41.0  41  1 1 5
2.096  43.2  25  2 0 0
1.629  56.5  41  2 1 5

Structural model:
a b c (Å): 4.1916 4.6825 15.5421
angles (deg): 90.00 90.00 90.00
Space group Amm2 (No. 38)
Inequivalent atoms, fractional coordinates:
1 Sr 0.0000 0.0000 0.0000
2 Sr 0.0000 0.0000 0.2541
3 Cd 0.5000 0.0000 0.6243
4 Cd 0.5000 0.0000 0.8232
5 Au 0.5000 0.0000 0.4327

***

Simulated X-ray diffraction stick pattern of Sr5CdAu for λ = 1.5418 Å (Cu Kα), from a cell relaxed with GGA-PBE.
Kinematic intensities with the Lorentz-polarization factor, no thermal factor.

Most intense lines, 2θ from 5° to 70°, by angle:
d_spacing  2theta  I (rel.)  hkl
7.422  11.9  86  1 0 1
3.634  24.5  32  1 1 -2
3.367  26.5  34  0 1 3
3.332  26.8  40  2 0 -3
3.227  27.6  52  2 1 0
3.130  28.5  41  2 1 1
2.916  30.7  100  2 1 2
2.868  31.2  47  0 1 4
2.444  36.8  32  2 1 -4
2.353  38.2  72  0 2 0

Structural model:
a b c (Å): 8.8731 4.7068 14.4691
angles (deg): 90.00 92.37 90.00
Space group P2_1/m (No. 11)
Inequivalent atoms, fractional coordinates:
1 Sr 0.0571 0.2500 0.1570
2 Sr 0.1471 0.7500 0.5714
3 Sr 0.3282 0.7500 0.0174
4 Sr 0.3360 0.2500 0.7798
5 Sr 0.3685 0.2500 0.3743
6 Cd 0.0740 0.7500 0.3291
7 Au 0.4355 0.2500 0.1526